Starting from the GGA-PBE geometry in Alexandria, the XRD peak list of HoMg9Pd2 was computed for Cu Kα, 1.54184 Å.
Kinematic intensities with the Lorentz-polarization factor, no thermal factor.

Most intense lines, 5 to 70 degrees two-theta, most intense first:
2θ/deg, I (rel.)
20.7, 100
30.1, 65
34.0, 55
42.2, 35
53.6, 34
34.4, 31
30.6, 31
36.7, 30
43.5, 23
26.0, 20

Atomic structure:
a b c (Å): 11.671 11.671 7.518
angles (deg): 90.00 90.00 90.00
Space group I4_1/amd (No. 141, origin choice 2)
Unique sites:
Ho 0.000 0.250 0.375 (multiplicity 4)
Mg 0.000 0.250 0.875 (multiplicity 4)
Mg 0.122 0.054 0.685 (multiplicity 32)
Pd 0.000 0.000 0.000 (multiplicity 8)

Starting from the GGA-PBE geometry in Alexandria, the XRD peak list of HoThMg2Pd4 was computed for Cu Kα, 1.54184 Å.
Kinematic intensities with the Lorentz-polarization factor, no thermal factor.

Most intense lines, 5 to 70 degrees two-theta, most intense first:
2θ/deg, I (rel.)
35.3, 100
39.0, 94
23.3, 76
41.0, 47
53.6, 30
68.3, 29
57.9, 20
45.9, 13
61.8, 11
60.7, 10

Atomic structure:
a b c (Å): 4.6134 4.6134 26.4046
angles (deg): 90.00 90.00 120.00
Space group R-3m (No. 166, hexagonal axes)
Unique sites:
Ho 0.0000 0.0000 0.0000 (multiplicity 3)
Th 0.0000 0.0000 0.5000 (multiplicity 3)
Mg 0.0000 0.0000 0.2562 (multiplicity 6)
Pd 0.0000 0.0000 0.1104 (multiplicity 6)
Pd 0.0000 0.0000 0.3859 (multiplicity 6)

Starting from the GGA-PBE geometry in Alexandria, the XRD peak list of Pm8Ho2Mg was computed for Cu Kα, 1.54184 Å.
Kinematic intensities with the Lorentz-polarization factor, no thermal factor.

Most intense lines, 5 to 70 degrees two-theta, most intense first:
2θ/deg, I (rel.)
30.5, 100
35.3, 34
50.9, 24
35.4, 17
60.3, 14
60.6, 14
60.4, 14
63.4, 12
50.7, 12
10.0, 3

Atomic structure:
a b c (Å): 18.283 5.098 8.038
angles (deg): 90.00 105.40 90.00
Space group C2/m (No. 12)
Unique sites:
Pm 0.046 0.000 0.223 (multiplicity 4)
Pm 0.091 0.500 0.949 (multiplicity 4)
Pm 0.137 0.000 0.683 (multiplicity 4)
Pm 0.182 0.500 0.410 (multiplicity 4)
Ho 0.225 0.000 0.135 (multiplicity 4)
Mg 0.000 0.500 0.500 (multiplicity 2)